For CoI2O10, a cell relaxed with PBE+U gives the calculated powder X-ray diffraction pattern in this record (Cu Ka).
Peak positions follow from Bragg's law for the DFT cell and can differ from measured ones.

The 12 most intense peaks (2θ from 10° to 90°), low angle first:
- 18.39°, d = 4.824 Å, rel. 100
- 20.68°, d = 4.294 Å, rel. 25
- 21.28°, d = 4.176 Å, rel. 97
- 21.84°, d = 4.069 Å, rel. 39
- 27.37°, d = 3.259 Å, rel. 40
- 28.90°, d = 3.089 Å, rel. 19
- 29.64°, d = 3.014 Å, rel. 40
- 30.45°, d = 2.935 Å, rel. 28
- 38.16°, d = 2.358 Å, rel. 15
- 40.31°, d = 2.237 Å, rel. 29
- 40.47°, d = 2.229 Å, rel. 21
- 46.27°, d = 1.962 Å, rel. 25

Crystal structure
```
data_CoI2O10
_symmetry_space_group_name_H-M 'P 1 21/c 1'
_symmetry_Int_Tables_number 14
_cell_length_a 6.712
_cell_length_b 6.966
_cell_length_c 8.383
_cell_angle_alpha 90.00
_cell_angle_beta 94.94
_cell_angle_gamma 90.00
loop_
_symmetry_equiv_pos_as_xyz
'x,y,z'
'-x,-y,-z'
'-x,y+1/2,-z+1/2'
'x,-y+1/2,z+1/2'
loop_
_atom_site_label
_atom_site_fract_x
_atom_site_fract_y
_atom_site_fract_z
_atom_site_occupancy
Co1 0.000 0.000 0.000 1
I1 0.347 0.192 0.522 1
O1 0.066 0.236 0.474 1
O2 0.105 0.574 0.321 1
O3 0.253 0.545 0.566 1
O4 0.313 0.553 0.945 1
O5 0.343 0.156 0.740 1
```